Simulated PXRD pattern of Ca4Mn3SbO12 for copper Kα, from a cell relaxed with PBE+U.

Structure:
```
Ca4Mn3SbO12
1.0
5.4097 0.0000 0.0000
0.0026 5.5045 0.0000
0.0116 0.0183 7.7168
Ca Mn Sb O
4 3 1 12
Direct
0.0080 0.4583 0.2667
0.4884 0.9490 0.2658
0.5116 0.0510 0.7342
0.9920 0.5417 0.7333
0.0000 0.0000 0.5000
0.5000 0.5000 0.0000
0.5000 0.5000 0.5000
0.0000 0.0000 0.0000
0.0856 0.9760 0.7486
0.2027 0.7020 0.0485
0.2095 0.7126 0.4609
0.2882 0.2109 0.4611
0.3007 0.2039 0.0475
0.4193 0.4771 0.7518
0.5807 0.5229 0.2482
0.6993 0.7961 0.9525
0.7118 0.7891 0.5389
0.7905 0.2874 0.5391
0.7973 0.2980 0.9515
0.9144 0.0240 0.2514
```

Peak list (8 most intense, 5° ≤ 2θ ≤ 70°, by angle)
two_theta  d [Å]  Rel. int.  (hkl)
23.1  3.858  39.3  1 1 0
25.8  3.449  10.8  1 1 -1
32.5  2.752  25.3  0 2 0
32.8  2.728  100.0  -1 1 2
33.1  2.705  23.7  2 0 0
47.1  1.929  53.9  0 0 4
58.3  1.582  13.3  0 2 4
59.0  1.566  18.5  -3 1 2